No. 1
Structure and theoretical powder diffraction line list of Rb4Hf5O12 (the PBE geometry in OQMD; Cu Kα (λ = 1.5418 Å)).
Lines closer than 0.1° are merged.

abc: 5.8418 5.8418 10.3727
angles: 90.00 90.00 120.00
Fractional coordinates of all 21 atoms:
Rb 0.0000 0.0000 0.1668
Rb 0.0000 0.0000 0.8332
Rb 0.3333 0.6667 0.6194
Rb 0.6667 0.3333 0.3806
Hf 0.0000 0.0000 0.5000
Hf 0.3333 0.6667 0.2847
Hf 0.3333 0.6667 0.9768
Hf 0.6667 0.3333 0.0232
Hf 0.6667 0.3333 0.7153
O 0.0198 0.5099 0.1222
O 0.1652 0.3305 0.3791
O 0.1652 0.8348 0.3791
O 0.3305 0.1652 0.6209
O 0.4901 0.5099 0.1222
O 0.4901 0.9802 0.1222
O 0.5099 0.0198 0.8778
O 0.5099 0.4901 0.8778
O 0.6695 0.8348 0.3791
O 0.8348 0.1652 0.6209
O 0.8348 0.6695 0.6209
O 0.9802 0.4901 0.8778

Largest 8 diffraction maxima, by intensity, 5 to 70 degrees two-theta:
2θ (°)	I/Imax
30.6	100
31.3	86
44.4	47
54.9	37
19.5	32
54.4	20
63.7	17
56.2	14



No. 2
Structure and theoretical powder diffraction line list of Rb2HfO4 (the PBE geometry in OQMD; Cu Kα (λ = 1.5418 Å)).
Lines closer than 0.1° are merged.

abc: 7.4258 7.4258 7.4258
angles: 119.97 119.97 90.05
Fractional coordinates of all 14 atoms:
Rb 0.0000 0.0000 0.0000
Rb 0.0000 0.0000 0.5000
Rb 0.0000 0.5000 0.0000
Rb 0.5000 0.0000 0.5000
Hf 0.3750 0.6250 0.7500
Hf 0.6250 0.3750 0.2500
O 0.2674 0.3021 0.5348
O 0.2674 0.7326 0.5348
O 0.2674 0.7326 0.9652
O 0.3021 0.2674 0.0348
O 0.6979 0.7326 0.9652
O 0.7326 0.2674 0.0348
O 0.7326 0.2674 0.4652
O 0.7326 0.6979 0.4652

Largest 8 diffraction maxima, by intensity, 5 to 70 degrees two-theta:
2θ (°)	I/Imax
28.2	100
24.0	51
49.1	37
44.8	33
68.6	25
42.1	22
57.5	13
66.6	13